Calculated PXRD pattern of Li4WO5 for Cu Kα (weighted mean of Kα1 and Kα2), from a crystal structure in Alexandria, relaxed with GGA+U.
Intensities are scaled so that the largest is 100.

Structure:
abc: 5.157 5.909 6.720
angles: 102.56 98.72 106.06
Positions (direct):
Li (0.000, 0.000, 0.000)
Li (0.000, 0.500, 0.000)
Li (0.167, 0.393, 0.392)
Li (0.197, 0.892, 0.387)
Li (0.399, 0.799, 0.800)
Li (0.601, 0.201, 0.200)
Li (0.803, 0.108, 0.613)
Li (0.833, 0.607, 0.608)
W (0.393, 0.285, 0.780)
W (0.607, 0.715, 0.220)
O (0.117, 0.975, 0.715)
O (0.123, 0.441, 0.704)
O (0.323, 0.367, 0.087)
O (0.324, 0.839, 0.109)
O (0.494, 0.257, 0.522)
O (0.506, 0.743, 0.478)
O (0.676, 0.161, 0.891)
O (0.677, 0.633, 0.913)
O (0.877, 0.559, 0.296)
O (0.883, 0.025, 0.285)

Principal peaks in the range 2θ = 10–90°, by angle:
2θ (°), I/Imax
18.3, 100
18.4, 59
20.3, 44
20.4, 45
24.2, 43
24.5, 27
27.9, 29
42.3, 25
43.0, 32
43.5, 27

---

Calculated PXRD pattern of Li6W2O9 for Cu Kα (weighted mean of Kα1 and Kα2), from a crystal structure in Alexandria, relaxed with GGA+U.
Intensities are scaled so that the largest is 100.

Structure:
abc: 6.672 6.672 8.316
angles: 108.06 108.06 83.99
Positions (direct):
Li (0.138, 0.492, 0.410)
Li (0.153, 0.518, 0.914)
Li (0.160, 0.163, 0.081)
Li (0.163, 0.160, 0.581)
Li (0.482, 0.847, 0.586)
Li (0.492, 0.138, 0.910)
Li (0.508, 0.862, 0.090)
Li (0.518, 0.153, 0.414)
Li (0.837, 0.840, 0.419)
Li (0.840, 0.837, 0.919)
Li (0.847, 0.482, 0.086)
Li (0.862, 0.508, 0.590)
W (0.138, 0.862, 0.250)
W (0.491, 0.509, 0.750)
W (0.509, 0.491, 0.250)
W (0.862, 0.138, 0.750)
O (0.151, 0.179, 0.832)
O (0.169, 0.831, 0.024)
O (0.169, 0.831, 0.476)
O (0.179, 0.151, 0.332)
O (0.191, 0.520, 0.180)
O (0.200, 0.484, 0.669)
O (0.480, 0.809, 0.320)
O (0.484, 0.200, 0.169)
O (0.500, 0.500, 0.000)
O (0.500, 0.500, 0.500)
O (0.516, 0.800, 0.831)
O (0.520, 0.191, 0.680)
O (0.800, 0.516, 0.331)
O (0.809, 0.480, 0.820)
O (0.821, 0.849, 0.668)
O (0.831, 0.169, 0.524)
O (0.831, 0.169, 0.976)
O (0.849, 0.821, 0.168)

Principal peaks in the range 2θ = 10–90°, by angle:
2θ (°), I/Imax
15.4, 39
19.7, 75
20.8, 20
23.1, 36
23.6, 100
27.1, 22
31.7, 36
42.4, 31
42.8, 40
43.5, 21

---

Calculated PXRD pattern of Li7W5O16 for Cu Kα (weighted mean of Kα1 and Kα2), from a crystal structure in Alexandria, relaxed with GGA+U.
Intensities are scaled so that the largest is 100.

Structure:
abc: 6.040 6.078 9.816
angles: 89.91 89.92 61.38
Positions (direct):
Li (0.000, 0.000, 0.000)
Li (0.011, 0.474, 0.190)
Li (0.190, 0.632, 0.511)
Li (0.275, 0.754, 0.256)
Li (0.339, 0.801, 0.789)
Li (0.521, 0.461, 0.997)
Li (0.688, 0.121, 0.699)
W (0.017, 0.472, 0.784)
W (0.191, 0.141, 0.500)
W (0.522, 0.974, 0.013)
W (0.687, 0.166, 0.266)
W (0.691, 0.636, 0.500)
O (0.014, 0.007, 0.388)
O (0.021, 0.467, 0.394)
O (0.182, 0.153, 0.875)
O (0.184, 0.615, 0.864)
O (0.305, 0.303, 0.634)
O (0.347, 0.808, 0.079)
O (0.355, 0.810, 0.600)
O (0.381, 0.271, 0.142)
O (0.517, 0.490, 0.376)
O (0.523, 0.997, 0.397)
O (0.669, 0.114, 0.897)
O (0.706, 0.630, 0.880)
O (0.808, 0.844, 0.149)
O (0.832, 0.287, 0.145)
O (0.869, 0.746, 0.641)
O (0.874, 0.311, 0.631)

Principal peaks in the range 2θ = 10–90°, by angle:
2θ (°), I/Imax
17.0, 73
19.0, 85
19.0, 47
19.3, 100
24.7, 64
24.9, 81
30.3, 51
32.1, 44
32.3, 36
34.9, 66

---

Calculated PXRD pattern of LiYW2O8 for Cu Kα (weighted mean of Kα1 and Kα2), from a crystal structure in Alexandria, relaxed with GGA+U.
Intensities are scaled so that the largest is 100.

Structure:
abc: 5.087 6.013 11.071
angles: 90.00 114.84 90.00
Positions (direct):
Li (0.000, 0.242, 0.250)
Li (0.000, 0.758, 0.750)
Y (0.500, 0.166, 0.750)
Y (0.500, 0.834, 0.250)
W (0.263, 0.331, 0.011)
W (0.263, 0.669, 0.511)
W (0.737, 0.331, 0.489)
W (0.737, 0.669, 0.989)
O (0.159, 0.391, 0.598)
O (0.159, 0.609, 0.098)
O (0.233, 0.140, 0.134)
O (0.233, 0.860, 0.634)
O (0.278, 0.136, 0.887)
O (0.278, 0.864, 0.387)
O (0.339, 0.409, 0.392)
O (0.339, 0.591, 0.892)
O (0.661, 0.409, 0.108)
O (0.661, 0.591, 0.608)
O (0.722, 0.136, 0.613)
O (0.722, 0.864, 0.113)
O (0.767, 0.140, 0.366)
O (0.767, 0.860, 0.866)
O (0.841, 0.391, 0.902)
O (0.841, 0.609, 0.402)

Principal peaks in the range 2θ = 10–90°, by angle:
2θ (°), I/Imax
14.7, 29
17.7, 79
22.9, 68
23.1, 59
28.6, 100
29.5, 88
34.7, 40
35.3, 28
39.5, 28
48.9, 30

---

Calculated PXRD pattern of LiYbW2O8 for Cu Kα (weighted mean of Kα1 and Kα2), from a crystal structure in Alexandria, relaxed with GGA+U.
Intensities are scaled so that the largest is 100.

Structure:
abc: 5.083 6.015 11.078
angles: 90.00 115.01 90.00
Positions (direct):
Li (0.000, 0.237, 0.250)
Li (0.000, 0.763, 0.750)
Yb (0.500, 0.162, 0.750)
Yb (0.500, 0.838, 0.250)
W (0.262, 0.331, 0.010)
W (0.262, 0.669, 0.510)
W (0.738, 0.331, 0.490)
W (0.738, 0.669, 0.990)
O (0.159, 0.392, 0.598)
O (0.159, 0.608, 0.098)
O (0.231, 0.141, 0.132)
O (0.231, 0.859, 0.632)
O (0.277, 0.135, 0.887)
O (0.277, 0.865, 0.387)
O (0.338, 0.407, 0.392)
O (0.338, 0.593, 0.892)
O (0.662, 0.407, 0.108)
O (0.662, 0.593, 0.608)
O (0.723, 0.135, 0.613)
O (0.723, 0.865, 0.113)
O (0.769, 0.141, 0.368)
O (0.769, 0.859, 0.868)
O (0.841, 0.392, 0.902)
O (0.841, 0.608, 0.402)

Principal peaks in the range 2θ = 10–90°, by angle:
2θ (°), I/Imax
17.7, 31
22.9, 27
23.1, 62
28.6, 100
29.5, 89
34.7, 45
35.3, 29
48.9, 31
50.1, 40
51.2, 26